No. 1
# BaHg6Pb2
Calculated powder XRD pattern, Cu Kα. Input: a cell relaxed with PBE.
No peak broadening, texture or thermal motion is included.

Most intense lines, 15° ≤ 2θ ≤ 90°, in order of rising 2θ:
| 2theta | Rel. int. |
| --- | --- |
| 31.04 | 100 |
| 34.56 | 88 |
| 42.34 | 15 |
| 47.13 | 32 |
| 48.50 | 12 |
| 59.75 | 32 |
| 60.91 | 35 |
| 61.93 | 17 |
| 81.33 | 14 |
| 82.35 | 15 |

Atomic structure:
```
BaHg6Pb2
1.0
8.990 0.000 0.000
-4.495 7.785 0.000
0.000 0.000 3.754
Ba Hg Pb
1 6 2
Cartesian
0.000 0.000 0.000 Ba
-1.518 2.629 1.877 Hg
-2.977 5.157 1.877 Hg
3.035 0.000 1.877 Hg
1.518 2.629 1.877 Hg
5.954 0.000 1.877 Hg
2.977 5.157 1.877 Hg
0.000 5.190 0.000 Pb
4.495 2.595 0.000 Pb
```

***

No. 2
# BaHg12Pb4
Calculated powder XRD pattern, Cu Kα. Input: a cell relaxed with PBE.
No peak broadening, texture or thermal motion is included.

Most intense lines, 15° ≤ 2θ ≤ 90°, in order of rising 2θ:
| 2theta | Rel. int. |
| --- | --- |
| 24.20 | 13 |
| 27.11 | 100 |
| 32.20 | 30 |
| 38.71 | 43 |
| 42.58 | 30 |
| 44.41 | 51 |
| 60.36 | 12 |
| 61.79 | 15 |
| 68.73 | 13 |
| 79.22 | 21 |

Atomic structure:
```
BaHg12Pb4
1.0
-5.201 5.201 5.201
5.201 -5.201 5.201
5.201 5.201 -5.201
Ba Hg Pb
1 12 4
Cartesian
0.000 0.000 0.000 Ba
3.700 0.000 1.509 Hg
6.702 0.000 1.509 Hg
5.201 3.692 -1.501 Hg
1.509 3.700 0.000 Hg
3.692 -1.501 5.201 Hg
5.201 3.692 1.501 Hg
0.000 1.509 3.700 Hg
1.509 6.702 0.000 Hg
3.692 1.501 5.201 Hg
0.000 1.509 6.702 Hg
-1.501 5.201 3.692 Hg
1.501 5.201 3.692 Hg
2.600 2.600 -2.600 Pb
2.600 -2.600 2.600 Pb
-2.600 2.600 2.600 Pb
2.600 2.600 2.600 Pb
```

***

No. 3
# BaHg2Pb8
Calculated powder XRD pattern, Cu Kα. Input: a cell relaxed with PBE.
No peak broadening, texture or thermal motion is included.

Most intense lines, 15° ≤ 2θ ≤ 90°, in order of rising 2θ:
| 2theta | Rel. int. |
| --- | --- |
| 18.40 | 21 |
| 21.00 | 21 |
| 26.78 | 25 |
| 32.69 | 100 |
| 38.23 | 39 |
| 38.95 | 29 |
| 54.49 | 13 |
| 55.18 | 14 |
| 62.23 | 14 |
| 65.63 | 30 |

Atomic structure:
```
BaHg2Pb8
1.0
6.658 0.000 0.000
0.000 6.658 0.000
0.000 0.000 9.642
Ba Hg Pb
1 2 8
Cartesian
0.000 0.000 0.000 Ba
0.000 3.329 4.821 Hg
3.329 0.000 4.821 Hg
1.693 1.693 2.776 Pb
1.693 1.693 6.866 Pb
1.693 4.965 2.776 Pb
1.693 4.965 6.866 Pb
4.965 1.693 2.776 Pb
4.965 1.693 6.866 Pb
4.965 4.965 2.776 Pb
4.965 4.965 6.866 Pb
```

***

No. 4
# BaHg2Pb10
Calculated powder XRD pattern, Cu Kα. Input: a cell relaxed with PBE.
No peak broadening, texture or thermal motion is included.

Most intense lines, 15° ≤ 2θ ≤ 90°, in order of rising 2θ:
| 2theta | Rel. int. |
| --- | --- |
| 27.15 | 30 |
| 30.90 | 40 |
| 31.26 | 56 |
| 31.86 | 100 |
| 34.45 | 23 |
| 35.28 | 40 |
| 35.49 | 23 |
| 35.66 | 21 |
| 35.87 | 36 |
| 55.99 | 27 |

Atomic structure:
```
BaHg2Pb10
1.0
0.000 7.930 8.268
3.228 0.000 8.268
3.228 7.930 0.000
Ba Hg Pb
1 2 10
Cartesian
0.000 0.000 0.000 Ba
1.614 0.000 4.134 Hg
1.614 7.930 4.134 Hg
1.614 3.965 0.000 Pb
3.228 2.818 5.338 Pb
3.228 6.234 6.410 Pb
3.228 2.818 11.197 Pb
3.228 9.627 6.410 Pb
1.614 3.965 8.268 Pb
3.228 6.234 10.126 Pb
3.228 13.042 5.338 Pb
3.228 9.627 10.126 Pb
3.228 13.042 11.197 Pb
```

***

No. 5
# Ba2HgPb3
Calculated powder XRD pattern, Cu Kα. Input: a cell relaxed with PBE.
No peak broadening, texture or thermal motion is included.

Most intense lines, 15° ≤ 2θ ≤ 90°, in order of rising 2θ:
| 2theta | Rel. int. |
| --- | --- |
| 26.76 | 39 |
| 27.24 | 23 |
| 28.40 | 28 |
| 28.68 | 68 |
| 29.13 | 29 |
| 31.97 | 100 |
| 33.83 | 30 |
| 34.50 | 53 |
| 49.09 | 21 |
| 53.23 | 22 |

Atomic structure:
```
Ba2HgPb3
1.0
12.777 0.000 0.000
0.000 5.199 0.000
-5.212 0.000 6.494
Ba Hg Pb
4 2 6
Cartesian
0.000 0.000 0.000 Ba
-1.793 0.000 3.901 Ba
6.389 2.600 0.000 Ba
4.596 2.600 3.901 Ba
0.695 2.600 2.471 Hg
7.083 0.000 2.471 Hg
-2.508 2.600 6.442 Pb
1.774 0.000 3.765 Pb
3.917 0.000 1.424 Pb
3.880 0.000 6.442 Pb
8.162 2.600 3.765 Pb
10.305 2.600 1.424 Pb
```

***

No. 6
# BaHgPb
Calculated powder XRD pattern, Cu Kα. Input: a cell relaxed with PBE.
No peak broadening, texture or thermal motion is included.

Most intense lines, 15° ≤ 2θ ≤ 90°, in order of rising 2θ:
| 2theta | Rel. int. |
| --- | --- |
| 20.22 | 32 |
| 27.93 | 50 |
| 28.15 | 41 |
| 28.25 | 87 |
| 33.78 | 100 |
| 34.09 | 49 |
| 44.61 | 40 |
| 54.45 | 26 |
| 56.73 | 16 |
| 60.82 | 19 |

Atomic structure:
```
BaHgPb
1.0
12.674 0.000 0.000
0.000 5.260 0.000
-6.026 0.000 6.389
Ba Hg Pb
4 4 4
Cartesian
0.000 0.000 0.000 Ba
-3.013 0.000 3.194 Ba
6.337 2.630 0.000 Ba
3.324 2.630 3.194 Ba
-0.307 2.630 2.661 Hg
0.618 0.000 3.728 Hg
6.030 0.000 2.661 Hg
6.955 2.630 3.728 Hg
-3.730 2.630 6.187 Pb
4.041 0.000 0.202 Pb
2.607 0.000 6.187 Pb
10.378 2.630 0.202 Pb
```